Calculated powder X-ray diffraction pattern of Ba3Li2Tl2Bi4 for a wavelength of 1.5418 Å, from a crystal structure in Alexandria, relaxed with GGA-PBE.
Intensities are scaled so that the largest is 100.

Atomic structure:
```
data_Ba3Li2Tl2Bi4
_cell_length_a 5.2550
_cell_length_b 5.2550
_cell_length_c 16.8518
_cell_angle_alpha 90.00
_cell_angle_beta 90.00
_cell_angle_gamma 120.00
_symmetry_space_group_name_H-M 'P -3 m 1'
_symmetry_Int_Tables_number 164
_symmetry_space_group_name_Hall '-P 3 2"'
loop_
_atom_site_label
_atom_site_fract_x
_atom_site_fract_y
_atom_site_fract_z
_atom_site_occupancy
Ba1 0.0000 0.0000 0.0000 1
Ba2 0.0000 0.0000 0.2665 1
Li1 0.3333 0.6667 0.1320 1
Tl1 0.3333 0.6667 0.5671 1
Bi1 0.3333 0.6667 0.3815 1
Bi2 0.3333 0.6667 0.8685 1
```

Top 10 peaks for 2θ from 15° to 90°, low angle first:
index	d/Å	I_rel
1 0 1	4.394	31
0 1 2	4.004	58
1 0 3	3.536	27
0 1 4	3.092	89
1 1 0	2.628	100
0 1 6	2.390	46
2 0 4	2.002	26
1 2 4	1.592	26
3 0 0	1.517	19
1 2 6	1.467	21

Calculated powder X-ray diffraction pattern of Na2Ac5Pb5 for a wavelength of 1.5418 Å, from a crystal structure in Alexandria, relaxed with GGA-PBE.
Intensities are scaled so that the largest is 100.

Atomic structure:
```
data_Na2Ac5Pb5
_cell_length_a 13.428
_cell_length_b 5.158
_cell_length_c 14.226
_cell_angle_alpha 90.00
_cell_angle_beta 117.91
_cell_angle_gamma 90.00
_symmetry_space_group_name_H-M 'C 1 2/m 1'
_symmetry_Int_Tables_number 12
_symmetry_space_group_name_Hall '-C 2y'
loop_
_atom_site_label
_atom_site_fract_x
_atom_site_fract_y
_atom_site_fract_z
_atom_site_occupancy
Na1 0.055 0.000 0.270 1
Ac1 0.000 0.500 0.000 1
Ac2 0.158 0.500 0.507 1
Ac3 0.171 0.500 0.782 1
Pb1 0.000 0.000 0.500 1
Pb2 0.159 0.000 0.950 1
Pb3 0.193 0.500 0.284 1
```

Top 10 peaks for 2θ from 15° to 90°, low angle first:
index	d/Å	I_rel
2 0 2	3.562	32
3 1 -1	3.351	100
0 0 4	3.141	89
3 1 -3	3.132	78
1 1 -4	2.877	67
3 1 1	2.807	100
0 2 0	2.579	63
6 0 -4	2.202	30
0 2 4	1.994	33
6 2 -4	1.675	33

Calculated powder X-ray diffraction pattern of Na8B13C3 for a wavelength of 1.5418 Å, from a crystal structure in Alexandria, relaxed with GGA-PBE.
Intensities are scaled so that the largest is 100.

Atomic structure:
```
data_Na8B13C3
_cell_length_a 5.134
_cell_length_b 2.921
_cell_length_c 17.243
_cell_angle_alpha 90.00
_cell_angle_beta 90.01
_cell_angle_gamma 90.00
_symmetry_space_group_name_H-M 'P 1 m 1'
_symmetry_Int_Tables_number 6
_symmetry_space_group_name_Hall 'P -2y'
loop_
_atom_site_label
_atom_site_fract_x
_atom_site_fract_y
_atom_site_fract_z
_atom_site_occupancy
Na1 0.000 0.000 0.000 1
Na2 0.000 0.000 0.496 1
Na3 0.003 0.000 0.252 1
Na4 0.009 0.000 0.748 1
Na5 0.497 0.500 0.748 1
Na6 0.502 0.500 0.251 1
Na7 0.504 0.500 0.001 1
Na8 0.506 0.500 0.496 1
B1 0.168 0.500 0.617 1
B2 0.168 0.500 0.880 1
B3 0.171 0.500 0.373 1
B4 0.325 0.000 0.126 1
B5 0.338 0.000 0.617 1
B6 0.338 0.000 0.880 1
B7 0.657 0.000 0.126 1
B8 0.668 0.000 0.627 1
B9 0.668 0.000 0.870 1
B10 0.671 0.000 0.373 1
B11 0.838 0.500 0.627 1
B12 0.838 0.500 0.870 1
B13 0.866 0.500 0.126 1
C1 0.167 0.500 0.127 1
C2 0.337 0.000 0.373 1
C3 0.837 0.500 0.373 1
```

Top 10 peaks for 2θ from 15° to 90°, low angle first:
index	d/Å	I_rel
2 0 0	2.567	10
1 1 0	2.539	18
2 0 4	2.206	49
1 1 -4	2.187	100
0 0 8	2.155	36
1 1 8	1.643	10
3 1 0	1.476	18
0 2 0	1.460	9
1 1 -12	1.250	12
3 1 8	1.218	28

Calculated powder X-ray diffraction pattern of Ca3Mg2Sn4 for a wavelength of 1.5418 Å, from a crystal structure in Alexandria, relaxed with GGA-PBE.
Intensities are scaled so that the largest is 100.

Atomic structure:
```
data_Ca3Mg2Sn4
_cell_length_a 12.504
_cell_length_b 4.656
_cell_length_c 9.174
_cell_angle_alpha 90.00
_cell_angle_beta 106.95
_cell_angle_gamma 90.00
_symmetry_space_group_name_H-M 'C 1 2/m 1'
_symmetry_Int_Tables_number 12
_symmetry_space_group_name_Hall '-C 2y'
loop_
_atom_site_label
_atom_site_fract_x
_atom_site_fract_y
_atom_site_fract_z
_atom_site_occupancy
Ca1 0.000 0.000 0.000 1
Ca2 0.113 0.500 0.702 1
Mg1 0.202 0.500 0.377 1
Sn1 0.071 0.000 0.392 1
Sn2 0.204 0.500 0.066 1
```

Top 10 peaks for 2θ from 15° to 90°, low angle first:
index	d/Å	I_rel
2 0 1	4.384	98
3 1 -1	3.081	100
3 1 0	3.028	70
2 0 -3	2.995	40
1 1 2	2.931	85
3 1 -3	2.384	75
0 2 0	2.328	55
4 0 2	2.192	32
5 1 -2	2.145	33
6 0 -1	2.080	32

Calculated powder X-ray diffraction pattern of Mg8Cd3In3 for a wavelength of 1.5418 Å, from a crystal structure in Alexandria, relaxed with GGA-PBE.
Intensities are scaled so that the largest is 100.

Atomic structure:
```
data_Mg8Cd3In3
_cell_length_a 11.936
_cell_length_b 11.451
_cell_length_c 5.033
_cell_angle_alpha 90.00
_cell_angle_beta 98.73
_cell_angle_gamma 90.00
_symmetry_space_group_name_H-M 'C 1 2/m 1'
_symmetry_Int_Tables_number 12
_symmetry_space_group_name_Hall '-C 2y'
loop_
_atom_site_label
_atom_site_fract_x
_atom_site_fract_y
_atom_site_fract_z
_atom_site_occupancy
Mg1 0.132 0.224 0.065 1
Mg2 0.145 0.369 0.569 1
Cd1 0.000 0.000 0.000 1
Cd2 0.000 0.147 0.500 1
In1 0.000 0.500 0.000 1
In2 0.243 0.000 0.867 1
```

Top 10 peaks for 2θ from 15° to 90°, low angle first:
index	d/Å	I_rel
0 2 0	5.725	48
1 1 -1	4.470	32
0 2 1	3.755	55
4 0 0	2.950	27
1 3 1	2.869	32
3 1 1	2.793	33
4 2 0	2.622	40
3 3 -1	2.514	28
0 4 1	2.483	100
4 2 -1	2.460	42

Calculated powder X-ray diffraction pattern of Li2MgAg3 for a wavelength of 1.5418 Å, from a crystal structure in Alexandria, relaxed with GGA-PBE.
Intensities are scaled so that the largest is 100.

Atomic structure:
```
data_Li2MgAg3
_cell_length_a 4.643
_cell_length_b 6.261
_cell_length_c 7.244
_cell_angle_alpha 90.00
_cell_angle_beta 106.13
_cell_angle_gamma 90.00
_symmetry_space_group_name_H-M 'P 1 2/m 1'
_symmetry_Int_Tables_number 10
_symmetry_space_group_name_Hall '-P 2y'
loop_
_atom_site_label
_atom_site_fract_x
_atom_site_fract_y
_atom_site_fract_z
_atom_site_occupancy
Li1 0.000 0.000 0.000 1
Li2 0.000 0.500 0.000 1
Li3 0.329 0.000 0.664 1
Mg1 0.330 0.500 0.668 1
Ag1 0.167 0.240 0.327 1
Ag2 0.500 0.241 0.000 1
```

Top 10 peaks for 2θ from 15° to 90°, low angle first:
index	d/Å	I_rel
1 0 1	3.355	91
1 0 -2	3.210	81
0 2 0	3.130	75
2 0 -1	2.319	100
1 2 1	2.289	95
1 2 -2	2.241	89
2 2 -1	1.864	64
3 2 0	1.343	32
3 2 -3	1.314	29
2 4 -1	1.297	27

Calculated powder X-ray diffraction pattern of BaLaOsN2 for a wavelength of 1.5418 Å, from a crystal structure in Alexandria, relaxed with GGA-PBE.
Intensities are scaled so that the largest is 100.

Atomic structure:
```
data_BaLaOsN2
_cell_length_a 6.116
_cell_length_b 5.015
_cell_length_c 7.554
_cell_angle_alpha 90.00
_cell_angle_beta 96.05
_cell_angle_gamma 90.00
_symmetry_space_group_name_H-M 'P 1 2/c 1'
_symmetry_Int_Tables_number 13
_symmetry_space_group_name_Hall '-P 2yc'
loop_
_atom_site_label
_atom_site_fract_x
_atom_site_fract_y
_atom_site_fract_z
_atom_site_occupancy
Ba1 0.000 0.088 0.250 1
La1 0.500 0.482 0.750 1
Os1 0.500 0.000 0.000 1
N1 0.279 0.262 0.984 1
```

Top 10 peaks for 2θ from 15° to 90°, low angle first:
index	d/Å	I_rel
0 1 0	5.015	29
1 0 -2	3.354	27
2 0 0	3.041	61
0 1 2	3.006	28
1 1 -2	2.790	100
1 1 2	2.609	84
0 2 0	2.508	24
1 2 0	2.318	21
2 2 0	1.935	32
3 1 -2	1.751	26

Calculated powder X-ray diffraction pattern of Y4SnIr for a wavelength of 1.5418 Å, from a crystal structure in Alexandria, relaxed with GGA-PBE.
Intensities are scaled so that the largest is 100.

Atomic structure:
```
data_Y4SnIr
_cell_length_a 5.643
_cell_length_b 6.741
_cell_length_c 8.610
_cell_angle_alpha 90.00
_cell_angle_beta 100.35
_cell_angle_gamma 90.00
_symmetry_space_group_name_H-M 'P 1 21/m 1'
_symmetry_Int_Tables_number 11
_symmetry_space_group_name_Hall '-P 2yb'
loop_
_atom_site_label
_atom_site_fract_x
_atom_site_fract_y
_atom_site_fract_z
_atom_site_occupancy
Y1 0.143 0.250 0.060 1
Y2 0.212 0.750 0.357 1
Y3 0.331 0.509 0.759 1
Sn1 0.229 0.250 0.427 1
Ir1 0.354 0.750 0.044 1
```

Top 10 peaks for 2θ from 15° to 90°, low angle first:
index	d/Å	I_rel
1 1 -1	4.057	39
0 2 0	3.370	43
1 2 -1	2.809	40
2 0 0	2.776	36
1 0 -3	2.722	55
1 2 1	2.653	88
0 2 2	2.637	100
1 1 -3	2.524	43
1 0 3	2.351	69
0 4 0	1.685	35

Calculated powder X-ray diffraction pattern of CaIrAu2 for a wavelength of 1.5418 Å, from a crystal structure in Alexandria, relaxed with GGA-PBE.
Intensities are scaled so that the largest is 100.

Atomic structure:
```
data_CaIrAu2
_cell_length_a 4.142
_cell_length_b 4.142
_cell_length_c 8.732
_cell_angle_alpha 90.00
_cell_angle_beta 90.00
_cell_angle_gamma 90.00
_symmetry_space_group_name_H-M 'I -4 m 2'
_symmetry_Int_Tables_number 119
_symmetry_space_group_name_Hall 'I -4 -2'
loop_
_atom_site_label
_atom_site_fract_x
_atom_site_fract_y
_atom_site_fract_z
_atom_site_occupancy
Ca1 0.000 0.000 0.000 1
Ir1 0.000 0.500 0.250 1
Au1 0.000 0.000 0.500 1
Au2 0.000 0.500 0.750 1
```

Top 10 peaks for 2θ from 15° to 90°, low angle first:
index	d/Å	I_rel
1 0 1	3.742	18
1 1 2	2.432	100
1 0 3	2.381	6
0 0 4	2.183	18
2 0 0	2.071	31
2 0 4	1.502	23
2 2 0	1.464	10
1 1 6	1.303	14
3 1 2	1.254	25
2 2 4	1.216	11

Calculated powder X-ray diffraction pattern of Li6CdSn for a wavelength of 1.5418 Å, from a crystal structure in Alexandria, relaxed with GGA-PBE.
Intensities are scaled so that the largest is 100.

Atomic structure:
```
data_Li6CdSn
_cell_length_a 4.6877
_cell_length_b 4.6877
_cell_length_c 22.7018
_cell_angle_alpha 90.00
_cell_angle_beta 90.00
_cell_angle_gamma 120.00
_symmetry_space_group_name_H-M 'R -3 m'
_symmetry_Int_Tables_number 166
_symmetry_space_group_name_Hall '-R 3 2"'
loop_
_atom_site_label
_atom_site_fract_x
_atom_site_fract_y
_atom_site_fract_z
_atom_site_occupancy
Li1 0.0000 0.0000 0.1244 1
Li2 0.0000 0.0000 0.2569 1
Li3 0.0000 0.0000 0.3741 1
Cd1 0.0000 0.0000 0.5000 1
Sn1 0.0000 0.0000 0.0000 1
```

Top 10 peaks for 2θ from 15° to 90°, low angle first:
index	d/Å	I_rel
0 1 2	3.823	100
0 0 6	3.784	33
1 0 4	3.302	69
1 1 0	2.344	38
0 1 8	2.326	37
2 0 2	1.998	17
1 1 6	1.993	34
1 0 10	1.981	17
0 2 4	1.911	15
1 2 2	1.521	14

Calculated powder X-ray diffraction pattern of CdRe2C for a wavelength of 1.5418 Å, from a crystal structure in Alexandria, relaxed with GGA-PBE.
Intensities are scaled so that the largest is 100.

Atomic structure:
```
data_CdRe2C
_cell_length_a 4.976
_cell_length_b 4.976
_cell_length_c 11.970
_cell_angle_alpha 90.00
_cell_angle_beta 90.00
_cell_angle_gamma 90.00
_symmetry_space_group_name_H-M 'I -4 2 d'
_symmetry_Int_Tables_number 122
_symmetry_space_group_name_Hall 'I -4 2bw'
loop_
_atom_site_label
_atom_site_fract_x
_atom_site_fract_y
_atom_site_fract_z
_atom_site_occupancy
Cd1 0.000 0.000 0.000 1
Re1 0.084 0.250 0.625 1
C1 0.000 0.000 0.500 1
```

Top 10 peaks for 2θ from 15° to 90°, low angle first:
index	d/Å	I_rel
1 0 1	4.595	32
1 0 3	3.113	90
1 1 2	3.033	77
0 0 4	2.993	22
2 0 2	2.297	55
2 1 1	2.188	100
1 0 5	2.157	33
2 1 3	1.943	29
3 1 4	1.393	23
2 1 7	1.356	22

Calculated powder X-ray diffraction pattern of Tl3GeAu3 for a wavelength of 1.5418 Å, from a crystal structure in Alexandria, relaxed with GGA-PBE.
Intensities are scaled so that the largest is 100.

Atomic structure:
```
data_Tl3GeAu3
_cell_length_a 7.855
_cell_length_b 13.423
_cell_length_c 7.197
_cell_angle_alpha 90.00
_cell_angle_beta 106.37
_cell_angle_gamma 90.00
_symmetry_space_group_name_H-M 'C 1 2/m 1'
_symmetry_Int_Tables_number 12
_symmetry_space_group_name_Hall '-C 2y'
loop_
_atom_site_label
_atom_site_fract_x
_atom_site_fract_y
_atom_site_fract_z
_atom_site_occupancy
Tl1 0.000 0.196 0.000 1
Tl2 0.000 0.270 0.500 1
Tl3 0.123 0.500 0.835 1
Ge1 0.191 0.000 0.545 1
Au1 0.011 0.000 0.807 1
Au2 0.209 0.348 0.232 1
```

Top 10 peaks for 2θ from 15° to 90°, low angle first:
index	d/Å	I_rel
1 3 1	3.172	100
0 2 2	3.070	29
2 2 -2	2.740	93
2 2 1	2.719	27
3 1 -1	2.561	37
2 4 0	2.507	53
1 3 2	2.404	32
0 6 0	2.237	37
2 2 2	2.131	24
1 3 -3	2.114	33

Calculated powder X-ray diffraction pattern of Dy12HoTm5 for a wavelength of 1.5418 Å, from a crystal structure in Alexandria, relaxed with GGA-PBE.
Intensities are scaled so that the largest is 100.

Atomic structure:
```
data_Dy12HoTm5
_cell_length_a 6.114
_cell_length_b 10.585
_cell_length_c 17.228
_cell_angle_alpha 90.00
_cell_angle_beta 96.77
_cell_angle_gamma 90.00
_symmetry_space_group_name_H-M 'C 1 2/m 1'
_symmetry_Int_Tables_number 12
_symmetry_space_group_name_Hall '-C 2y'
loop_
_atom_site_label
_atom_site_fract_x
_atom_site_fract_y
_atom_site_fract_z
_atom_site_occupancy
Dy1 0.112 0.000 0.334 1
Dy2 0.112 0.333 0.334 1
Dy3 0.222 0.500 0.166 1
Dy4 0.223 0.167 0.166 1
Ho1 0.000 0.000 0.000 1
Tm1 0.000 0.167 0.500 1
Tm2 0.000 0.333 0.000 1
Tm3 0.000 0.500 0.500 1
```

Top 10 peaks for 2θ from 15° to 90°, low angle first:
index	d/Å	I_rel
1 3 -2	2.929	88
0 0 6	2.851	86
1 3 2	2.821	34
2 0 2	2.759	100
2 0 -4	2.626	89
1 3 -4	2.557	25
1 3 4	2.417	51
0 6 0	1.765	64
3 3 5	1.500	75
3 3 11	1.109	39